Entry 1:
FeAgO2: calculated powder diffractogram (λ = 1.5418 Å (Cu Kα)), based on a DFT-relaxed cell (PBE+U, the Materials Project).

abc: 2.9478 2.9478 18.2711
angles: 90.00 90.00 120.00
Space group R3m (No. 160, hexagonal axes)
Asymmetric unit:
Fe1 0.0000 0.0000 0.0000 (multiplicity 3)
Ag1 0.0000 0.0000 0.1615 (multiplicity 3)
O1 0.0000 0.0000 0.2807 (multiplicity 3)
O2 0.0000 0.0000 0.7226 (multiplicity 3)

Main lines, in order of rising 2θ (15° ≤ 2θ ≤ 90°):
(0 0 6), 2θ = 29.3°, I 622
(1 0 1), 2θ = 35.5°, I 1000
(0 1 2), 2θ = 36.5°, I 445
(1 0 4), 2θ = 40.5°, I 253
(0 1 5), 2θ = 43.2°, I 436
(1 0 7), 2θ = 50.0°, I 563
(1 1 0), 2θ = 63.1°, I 308
(1 1 6), 2θ = 71.1°, I 273

***

Entry 2:
FeAgO2: calculated powder diffractogram (λ = 1.5418 Å (Cu Kα)), based on a DFT-relaxed cell (PBE+U, the Materials Project).

abc: 3.0826 3.0826 12.5907
angles: 90.00 90.00 120.00
Space group P6_3/mmc (No. 194)
Asymmetric unit:
Fe1 0.0000 0.0000 0.0000 (multiplicity 2)
Ag1 0.3333 0.6667 0.2500 (multiplicity 2)
O1 0.3333 0.6667 0.0819 (multiplicity 4)

Main lines, in order of rising 2θ (15° ≤ 2θ ≤ 90°):
(0 0 4), 2θ = 28.4°, I 539
(1 0 1), 2θ = 34.3°, I 1000
(1 0 2), 2θ = 36.6°, I 767
(1 0 3), 2θ = 40.0°, I 251
(1 0 5), 2θ = 49.8°, I 332
(1 0 6), 2θ = 55.7°, I 309
(1 1 0), 2θ = 60.0°, I 289
(1 1 4), 2θ = 67.7°, I 252

***

Entry 3:
FeAgP2O7: calculated powder diffractogram (λ = 1.5418 Å (Cu Kα)), based on a DFT-relaxed cell (PBE+U, the Materials Project).

abc: 7.4430 8.1068 9.7154
angles: 90.00 111.73 90.00
Space group P2_1/c (No. 14)
Asymmetric unit:
Fe1 0.2399 0.0086 0.2493 (multiplicity 4)
Ag1 0.2060 0.0263 0.6899 (multiplicity 4)
P1 0.1743 0.7088 0.4536 (multiplicity 4)
P2 0.4254 0.2464 0.5443 (multiplicity 4)
O1 0.0353 0.5859 0.3476 (multiplicity 4)
O2 0.1401 0.6111 0.8976 (multiplicity 4)
O3 0.1869 0.6968 0.6137 (multiplicity 4)
O4 0.3095 0.2094 0.3814 (multiplicity 4)
O5 0.3187 0.1346 0.1070 (multiplicity 4)
O6 0.3811 0.6541 0.4461 (multiplicity 4)
O7 0.4921 0.0889 0.6395 (multiplicity 4)

Main lines, in order of rising 2θ (15° ≤ 2θ ≤ 90°):
(0 2 0), 2θ = 21.9°, I 201
(0 1 2), 2θ = 22.6°, I 214
(2 0 0), 2θ = 25.8°, I 468
(2 0 -2), 2θ = 26.0°, I 280
(0 2 2), 2θ = 29.6°, I 1000
(0 1 3), 2θ = 31.7°, I 245
(2 2 0), 2θ = 34.1°, I 240
(2 2 -2), 2θ = 34.3°, I 417

***

Entry 4:
FeAgS2O8: calculated powder diffractogram (λ = 1.5418 Å (Cu Kα)), based on a DFT-relaxed cell (PBE+U, the Materials Project).

abc: 8.1328 5.2433 7.5046
angles: 90.00 92.53 90.00
Space group C2/m (No. 12)
Asymmetric unit:
Fe1 0.0000 0.0000 0.0000 (multiplicity 2)
Ag1 0.0000 0.0000 0.5000 (multiplicity 2)
S1 0.1365 0.5000 0.7853 (multiplicity 4)
O1 0.0289 0.2672 0.8049 (multiplicity 8)
O2 0.2057 0.5000 0.6100 (multiplicity 4)
O3 0.2393 0.0000 0.0625 (multiplicity 4)

Main lines, in order of rising 2θ (15° ≤ 2θ ≤ 90°):
(1 1 0), 2θ = 20.2°, I 665
(2 0 0), 2θ = 21.9°, I 598
(1 1 1), 2θ = 23.7°, I 904
(2 0 -1), 2θ = 24.5°, I 349
(1 1 -2), 2θ = 30.9°, I 1000
(1 1 2), 2θ = 31.7°, I 772
(0 2 0), 2θ = 34.2°, I 408
(3 1 0), 2θ = 37.4°, I 630

***

Entry 5:
Sr6Fe5Ag3Se4O10: calculated powder diffractogram (λ = 1.5418 Å (Cu Kα)), based on a DFT-relaxed cell (PBE+U, the Materials Project).

abc: 5.7284 28.8222 5.7303
angles: 90.00 90.00 90.00
Space group C222 (No. 21)
Asymmetric unit:
Sr1 0.2480 0.1218 0.2487 (multiplicity 8)
Sr2 0.2500 0.2500 0.2521 (multiplicity 4)
Fe1 0.0000 0.5000 0.5000 (multiplicity 2)
Fe2 0.2491 0.3172 0.7500 (multiplicity 8)
Ag1 0.0000 0.0000 0.0000 (multiplicity 2)
Ag2 0.0000 0.0000 0.5000 (multiplicity 2)
Ag3 0.0000 0.5000 0.0000 (multiplicity 2)
Se1 0.2363 0.4374 0.7368 (multiplicity 8)
O1 0.0000 0.1723 0.0000 (multiplicity 4)
O2 0.0000 0.1723 0.5000 (multiplicity 4)
O3 0.0000 0.3279 0.0000 (multiplicity 4)
O4 0.0000 0.3276 0.5000 (multiplicity 4)
O5 0.2500 0.2500 0.7472 (multiplicity 4)

Main lines, in order of rising 2θ (15° ≤ 2θ ≤ 90°):
(1 7 1), 2θ = 31.0°, I 1000
(2 2 0), 2θ = 31.8°, I 312
(2 4 0), 2θ = 33.7°, I 349
(1 9 1), 2θ = 35.7°, I 477
(2 6 0), 2θ = 36.5°, I 677
(2 0 2), 2θ = 44.7°, I 764
(3 7 1), 2θ = 55.4°, I 371
(2 16 2), 2θ = 69.9°, I 311

***

Entry 6:
V2FeAgO7: calculated powder diffractogram (λ = 1.5418 Å (Cu Kα)), based on a DFT-relaxed cell (PBE+U, the Materials Project).

abc: 5.7107 7.5988 7.7893
angles: 64.53 89.45 78.86
Space group P-1 (No. 2)
Asymmetric unit:
V1 0.1920 0.2276 0.2876 (multiplicity 2)
V2 0.2045 0.2175 0.7539 (multiplicity 2)
Fe1 0.3245 0.6810 0.0230 (multiplicity 2)
Ag1 0.3270 0.6648 0.5369 (multiplicity 2)
O1 0.0676 0.6770 0.1978 (multiplicity 2)
O2 0.0908 0.6954 0.8259 (multiplicity 2)
O3 0.1757 0.2546 0.5095 (multiplicity 2)
O4 0.2804 0.9721 0.9057 (multiplicity 2)
O5 0.2889 0.9873 0.3414 (multiplicity 2)
O6 0.3973 0.3682 0.1387 (multiplicity 2)
O7 0.4231 0.3446 0.7737 (multiplicity 2)

Main lines, in order of rising 2θ (15° ≤ 2θ ≤ 90°):
(0 2 0), 2θ = 26.6°, I 589
(1 1 2), 2θ = 27.6°, I 1000
(1 2 0), 2θ = 28.0°, I 323
(-1 1 2), 2θ = 28.4°, I 741
(2 0 0), 2θ = 32.1°, I 528
(0 3 0), 2θ = 40.3°, I 318
(0 2 4), 2θ = 46.9°, I 328
(1 4 0), 2θ = 53.7°, I 254

***

Entry 7:
V2FeAg3O8: calculated powder diffractogram (λ = 1.5418 Å (Cu Kα)), based on a DFT-relaxed cell (PBE+U, the Materials Project).

abc: 9.9425 5.2129 14.5188
angles: 90.00 94.19 90.00
Space group C2/c (No. 15)
Asymmetric unit:
V1 0.1679 0.0360 0.3939 (multiplicity 8)
Fe1 0.0000 0.5000 0.0000 (multiplicity 4)
Ag1 0.0000 0.4560 0.7500 (multiplicity 4)
Ag2 0.1604 0.0569 0.1406 (multiplicity 8)
O1 0.0594 0.3104 0.3853 (multiplicity 8)
O2 0.1071 0.1812 0.9714 (multiplicity 8)
O3 0.1636 0.3715 0.5747 (multiplicity 8)
O4 0.1660 0.1199 0.7888 (multiplicity 8)

Main lines, in order of rising 2θ (15° ≤ 2θ ≤ 90°):
(2 0 2), 2θ = 22.5°, I 157
(1 1 -4), 2θ = 30.9°, I 733
(2 0 4), 2θ = 31.6°, I 307
(3 1 0), 2θ = 32.1°, I 1000
(0 2 0), 2θ = 34.4°, I 237
(4 0 -4), 2θ = 42.7°, I 130
(2 2 4), 2θ = 47.4°, I 166
(4 2 -4), 2θ = 55.9°, I 128

***

Entry 8:
GdAgW2O8: calculated powder diffractogram (λ = 1.5418 Å (Cu Kα)), based on a DFT-relaxed cell (PBE+U, the Materials Project).

abc: 10.1696 10.9108 7.3815
angles: 90.00 127.31 90.00
Space group C2/m (No. 12)
Asymmetric unit:
Gd1 0.0000 0.1996 0.0000 (multiplicity 4)
Ag1 0.1851 0.0000 0.5176 (multiplicity 4)
W1 0.0000 0.3366 0.5000 (multiplicity 4)
W2 0.2116 0.5000 0.9670 (multiplicity 4)
O1 0.0216 0.5000 0.3424 (multiplicity 4)
O2 0.0488 0.2342 0.3545 (multiplicity 8)
O3 0.0571 0.0000 0.8631 (multiplicity 4)
O4 0.1718 0.3710 0.0853 (multiplicity 8)
O5 0.2262 0.3753 0.7563 (multiplicity 8)

Main lines, in order of rising 2θ (15° ≤ 2θ ≤ 90°):
(2 2 0), 2θ = 27.4°, I 1000
(3 1 -1), 2θ = 28.0°, I 340
(2 2 -2), 2θ = 29.4°, I 546
(0 0 2), 2θ = 30.5°, I 394
(1 3 1), 2θ = 34.2°, I 230
(3 1 1), 2θ = 45.5°, I 160
(4 0 -4), 2θ = 50.0°, I 179
(5 3 -1), 2θ = 55.0°, I 178

***

Entry 9:
MnAg4P6H6O18: calculated powder diffractogram (λ = 1.5418 Å (Cu Kα)), based on a DFT-relaxed cell (PBE+U, the Materials Project).

abc: 6.6287 8.9370 9.1171
angles: 85.08 81.58 68.42
Space group P-1 (No. 2)
Asymmetric unit:
Mn1 0.0000 0.0000 0.0000 (multiplicity 1)
Ag1 0.2178 0.8101 0.5013 (multiplicity 2)
Ag2 0.3546 0.4076 0.7532 (multiplicity 2)
P1 0.1787 0.5162 0.2495 (multiplicity 2)
P2 0.2901 0.2078 0.4257 (multiplicity 2)
P3 0.4344 0.7498 0.8343 (multiplicity 2)
H1 0.0242 0.0553 0.7732 (multiplicity 2)
H2 0.0569 0.1235 0.7957 (multiplicity 2)
H3 0.0834 0.1273 0.0778 (multiplicity 2)
O1 0.0294 0.3882 0.8130 (multiplicity 2)
O2 0.1315 0.3847 0.3711 (multiplicity 2)
O3 0.1500 0.1069 0.4650 (multiplicity 2)
O4 0.2938 0.6074 0.3149 (multiplicity 2)
O5 0.3045 0.6907 0.7473 (multiplicity 2)
O6 0.3199 0.8438 0.9716 (multiplicity 2)
O7 0.3506 0.3996 0.1207 (multiplicity 2)
O8 0.4206 0.2227 0.5423 (multiplicity 2)
O9 0.4508 0.1414 0.2736 (multiplicity 2)

Main lines, in order of rising 2θ (15° ≤ 2θ ≤ 90°):
(1 2 0), 2θ = 21.1°, I 527
(0 1 2), 2θ = 22.1°, I 761
(0 1 -2), 2θ = 22.8°, I 1000
(1 0 2), 2θ = 23.0°, I 346
(0 2 -1), 2θ = 23.9°, I 714
(2 0 -1), 2θ = 32.0°, I 573
(0 3 1), 2θ = 33.5°, I 400
(2 -1 1), 2θ = 35.2°, I 309

***

Entry 10:
VAgH2O4: calculated powder diffractogram (λ = 1.5418 Å (Cu Kα)), based on a DFT-relaxed cell (PBE+U, the Materials Project).

abc: 7.2447 3.7024 15.8602
angles: 90.00 90.00 90.00
Space group Pnma (No. 62)
Asymmetric unit:
V1 0.1255 0.2500 0.0565 (multiplicity 4)
Ag1 0.0613 0.7500 0.4051 (multiplicity 4)
H1 0.1319 0.5420 0.2388 (multiplicity 8)
O1 0.0776 0.2500 0.1590 (multiplicity 4)
O2 0.0865 0.7500 0.0256 (multiplicity 4)
O3 0.1378 0.7500 0.5451 (multiplicity 4)
O4 0.1687 0.7500 0.2747 (multiplicity 4)

Main lines, in order of rising 2θ (15° ≤ 2θ ≤ 90°):
(2 0 1), 2θ = 25.2°, I 379
(1 1 1), 2θ = 27.6°, I 465
(1 1 2), 2θ = 29.3°, I 1000
(2 0 3), 2θ = 29.9°, I 304
(1 0 5), 2θ = 30.8°, I 297
(2 1 3), 2θ = 38.7°, I 243
(3 1 1), 2θ = 45.2°, I 270
(0 2 0), 2θ = 49.2°, I 222